Theoretical XRD peak list
Compound: LiCo2H8
Radiation: Cu Kα (weighted mean of Kα1 and Kα2)
Structure: a PBE-relaxed structure

The 8 most intense peaks (15° ≤ 2θ ≤ 90°), by intensity:
- d = 3.241 Å, 2θ 27.52, I 100
- d = 2.268 Å, 2θ 39.75, I 68
- d = 3.809 Å, 2θ 23.36, I 66
- d = 2.521 Å, 2θ 35.61, I 57
- d = 4.204 Å, 2θ 21.13, I 56
- d = 2.468 Å, 2θ 36.40, I 49
- d = 1.990 Å, 2θ 45.59, I 41
- d = 2.567 Å, 2θ 34.95, I 38

Structure:
```
data_LiCo2H8
_space_group_name_H-M_alt 'P 1'
_space_group_IT_number 1
_cell_length_a 4.567
_cell_length_b 4.567
_cell_length_c 3.241
_cell_angle_alpha 90.13
_cell_angle_beta 90.13
_cell_angle_gamma 67.00
loop_
_space_group_symop_operation_xyz
'x,y,z'
loop_
_atom_site_label
_atom_site_fract_x
_atom_site_fract_y
_atom_site_fract_z
Li1 0.000 0.000 0.000
Co1 0.315 0.315 0.500
Co2 0.685 0.685 0.500
H1 0.042 0.674 0.501
H2 0.281 0.281 0.000
H3 0.326 0.958 0.499
H4 0.500 0.500 0.256
H5 0.500 0.500 0.744
H6 0.674 0.042 0.501
H7 0.719 0.719 0.000
H8 0.958 0.326 0.499
```

Theoretical XRD peak list
Compound: Er2Fe2Co5Si
Radiation: Cu Kα (weighted mean of Kα1 and Kα2)
Structure: a PBE-relaxed structure

The 8 most intense peaks (15° ≤ 2θ ≤ 90°), by intensity:
- d = 2.170 Å, 2θ 41.63, I 100
- d = 2.295 Å, 2θ 39.25, I 91
- d = 2.231 Å, 2θ 40.43, I 53
- d = 2.527 Å, 2θ 35.53, I 43
- d = 2.622 Å, 2θ 34.20, I 32
- d = 2.017 Å, 2θ 44.95, I 26
- d = 1.299 Å, 2θ 72.84, I 22
- d = 4.233 Å, 2θ 20.99, I 21

Structure:
```
data_Er2Fe2Co5Si
_space_group_name_H-M_alt 'P 1'
_space_group_IT_number 1
_cell_length_a 9.466
_cell_length_b 9.466
_cell_length_c 3.149
_cell_angle_alpha 90.00
_cell_angle_beta 90.00
_cell_angle_gamma 90.00
loop_
_space_group_symop_operation_xyz
'x,y,z'
loop_
_atom_site_label
_atom_site_fract_x
_atom_site_fract_y
_atom_site_fract_z
Er1 0.174 0.326 0.000
Er2 0.326 0.826 0.000
Er3 0.674 0.174 0.000
Er4 0.826 0.674 0.000
Fe1 0.130 0.630 0.000
Fe2 0.370 0.130 0.000
Fe3 0.630 0.870 0.000
Fe4 0.870 0.370 0.000
Co1 0.000 0.500 0.500
Co2 0.056 0.807 0.500
Co3 0.193 0.056 0.500
Co4 0.307 0.556 0.500
Co5 0.444 0.307 0.500
Co6 0.500 0.000 0.500
Co7 0.556 0.693 0.500
Co8 0.693 0.444 0.500
Co9 0.807 0.944 0.500
Co10 0.944 0.193 0.500
Si1 0.000 0.000 0.000
Si2 0.500 0.500 0.000
```

Question: Number 2 is which compound?
Answer: Er2Fe2Co5Si